Diffraction record for MgCo2O5. The powder diffractogram is computed, not measured: it uses the GGA+U geometry in Alexandria and CuKα.

Largest 8 diffraction maxima, in order of rising 2θ, 10 to 80 degrees two-theta:
18.20 deg, intensity 100
24.09 deg, intensity 37
28.75 deg, intensity 39
29.94 deg, intensity 30
33.29 deg, intensity 57
34.24 deg, intensity 33
36.65 deg, intensity 57
49.55 deg, intensity 26

Cell lengths 3.2285, 11.3231, 4.8743 Å; angles 90.00, 90.00, 90.00 degrees
Fractional coordinates of all 16 atoms:
Mg (0.2500, 0.2500, 0.1233)
Mg (0.7500, 0.7500, 0.8767)
Co (0.2500, 0.5998, 0.4144)
Co (0.2500, 0.9002, 0.4144)
Co (0.7500, 0.0998, 0.5856)
Co (0.7500, 0.4002, 0.5856)
O (0.2500, 0.0673, 0.3785)
O (0.2500, 0.4327, 0.3785)
O (0.2500, 0.6420, 0.0814)
O (0.2500, 0.7500, 0.5784)
O (0.2500, 0.8580, 0.0814)
O (0.7500, 0.1420, 0.9186)
O (0.7500, 0.2500, 0.4216)
O (0.7500, 0.3580, 0.9186)
O (0.7500, 0.5673, 0.6215)
O (0.7500, 0.9327, 0.6215)

Diffraction record for MgCo2O4. The powder diffractogram is computed, not measured: it uses the GGA+U geometry in Alexandria and CuKα.

Largest 8 diffraction maxima, in order of rising 2θ, 10 to 80 degrees two-theta:
18.67 deg, intensity 40
30.73 deg, intensity 27
36.24 deg, intensity 100
44.05 deg, intensity 29
58.25 deg, intensity 16
58.32 deg, intensity 22
63.99 deg, intensity 23
64.12 deg, intensity 24

Cell lengths 5.8199, 5.8199, 5.8199 Å; angles 59.88, 59.88, 59.88 degrees
Fractional coordinates of all 14 atoms:
Mg (0.0000, 0.0000, 0.0000)
Mg (0.3804, 0.3804, 0.3804)
Co (0.3797, 0.3797, 0.8822)
Co (0.3797, 0.8822, 0.3797)
Co (0.7596, 0.7596, 0.7596)
Co (0.8822, 0.3797, 0.3797)
O (0.1350, 0.1350, 0.5896)
O (0.1350, 0.5896, 0.1350)
O (0.1426, 0.1426, 0.1426)
O (0.1667, 0.6293, 0.6293)
O (0.5896, 0.1350, 0.1350)
O (0.6187, 0.6187, 0.6187)
O (0.6293, 0.1667, 0.6293)
O (0.6293, 0.6293, 0.1667)

Diffraction record for MgCo2P2O10. The powder diffractogram is computed, not measured: it uses the GGA+U geometry in Alexandria and CuKα.

Largest 8 diffraction maxima, in order of rising 2θ, 10 to 80 degrees two-theta:
15.88 deg, intensity 29
21.72 deg, intensity 17
28.01 deg, intensity 42
30.11 deg, intensity 21
31.20 deg, intensity 82
32.07 deg, intensity 100
45.14 deg, intensity 24
54.16 deg, intensity 23

Cell lengths 9.8541, 8.9130, 6.5244 Å; angles 77.63, 62.07, 40.30 degrees
Fractional coordinates of all 30 atoms:
Mg (0.1250, 0.1250, 0.1250)
Mg (0.8750, 0.8750, 0.8750)
Co (0.0000, 0.5000, 0.5000)
Co (0.5000, 0.0000, 0.5000)
Co (0.5000, 0.5000, 0.0000)
Co (0.5000, 0.5000, 0.5000)
P (0.0807, 0.0807, 0.6693)
P (0.3307, 0.3307, 0.9193)
P (0.6693, 0.6693, 0.0807)
P (0.9193, 0.9193, 0.3307)
O (0.0540, 0.2166, 0.4689)
O (0.1134, 0.4281, 0.1606)
O (0.1606, 0.7979, 0.1134)
O (0.2021, 0.8394, 0.5719)
O (0.2166, 0.0540, 0.7605)
O (0.2395, 0.5311, 0.7834)
O (0.2914, 0.2914, 0.4586)
O (0.4281, 0.1134, 0.7979)
O (0.4586, 0.4586, 0.2914)
O (0.4689, 0.7605, 0.0540)
O (0.5311, 0.2395, 0.9460)
O (0.5414, 0.5414, 0.7086)
O (0.5719, 0.8866, 0.2021)
O (0.7086, 0.7086, 0.5414)
O (0.7605, 0.4689, 0.2166)
O (0.7834, 0.9460, 0.2395)
O (0.7979, 0.1606, 0.4281)
O (0.8394, 0.2021, 0.8866)
O (0.8866, 0.5719, 0.8394)
O (0.9460, 0.7834, 0.5311)

Diffraction record for MgCo2P2O8. The powder diffractogram is computed, not measured: it uses the GGA+U geometry in Alexandria and CuKα.

Largest 8 diffraction maxima, in order of rising 2θ, 10 to 80 degrees two-theta:
20.12 deg, intensity 54
20.41 deg, intensity 37
21.70 deg, intensity 19
22.76 deg, intensity 29
25.43 deg, intensity 100
27.53 deg, intensity 22
35.27 deg, intensity 44
36.60 deg, intensity 37

Cell lengths 5.1037, 8.4075, 8.9125 Å; angles 90.00, 120.16, 90.00 degrees
Fractional coordinates of all 26 atoms:
Mg (0.0000, 0.0000, 0.0000)
Mg (0.0000, 0.5000, 0.5000)
Co (0.0237, 0.1414, 0.6142)
Co (0.0237, 0.3586, 0.1142)
Co (0.9763, 0.6414, 0.8858)
Co (0.9763, 0.8586, 0.3858)
P (0.3344, 0.6937, 0.2992)
P (0.3344, 0.8063, 0.7992)
P (0.6656, 0.1937, 0.2008)
P (0.6656, 0.3063, 0.7008)
O (0.1851, 0.6382, 0.7403)
O (0.1851, 0.8618, 0.2403)
O (0.1902, 0.5789, 0.1400)
O (0.1902, 0.9211, 0.6400)
O (0.2573, 0.6390, 0.4378)
O (0.2573, 0.8610, 0.9378)
O (0.3186, 0.1944, 0.1258)
O (0.3186, 0.3056, 0.6258)
O (0.6814, 0.6944, 0.3742)
O (0.6814, 0.8056, 0.8742)
O (0.7427, 0.1390, 0.0622)
O (0.7427, 0.3610, 0.5622)
O (0.8098, 0.0789, 0.3600)
O (0.8098, 0.4211, 0.8600)
O (0.8149, 0.1382, 0.7597)
O (0.8149, 0.3618, 0.2597)